No. 1
Structure and theoretical X-ray powder pattern of Ba2ErCu4O8 (a GGA-PBE-relaxed structure; Cu Kα, 1.54184 Å).

Structural model:
```
Ba2ErCu4O8
1.0
1.9439 -13.7847 0.0000
1.9439 13.7847 0.0000
0.0000 0.0000 3.8654
Ba Er Cu O
2 1 4 8
Direct
0.1359 0.8641 0.0000
0.8641 0.1359 0.0000
0.0000 0.0000 0.0000
0.2869 0.7131 0.5000
0.4393 0.5607 0.5000
0.5607 0.4393 0.5000
0.7131 0.2869 0.5000
0.0511 0.9489 0.5000
0.2182 0.7818 0.5000
0.3541 0.6459 0.5000
0.4489 0.5511 0.0000
0.5511 0.4489 0.0000
0.6459 0.3541 0.5000
0.7818 0.2182 0.5000
0.9489 0.0511 0.5000
```

The 10 most intense peaks (2θ from 5° to 70°), by intensity:
2θ (°)	Rel. int.
32.83	100
32.36	97
6.41	71
34.88	64
30.21	43
58.23	37
46.73	31
47.02	31
60.66	29
59.62	27

No. 2
Structure and theoretical X-ray powder pattern of Dy7Tm12Cd (a GGA-PBE-relaxed structure; Cu Kα, 1.54184 Å).

Structural model:
```
Dy7Tm12Cd
1.0
8.6151 0.0000 0.0000
-1.1709 8.6973 0.0000
-1.0356 -4.2834 8.2193
Dy Tm Cd
7 12 1
Direct
0.0000 0.0000 0.0000
0.1751 0.5995 0.6352
0.2978 0.7056 0.0200
0.4148 0.3372 0.7208
0.5852 0.6628 0.2792
0.7022 0.2944 0.9800
0.8249 0.4005 0.3648
0.0381 0.3088 0.8226
0.0590 0.1372 0.4188
0.2019 0.4205 0.2181
0.3074 0.8805 0.4591
0.3094 0.0649 0.8783
0.4038 0.1276 0.2659
0.5962 0.8724 0.7341
0.6906 0.9351 0.1217
0.6926 0.1195 0.5409
0.7981 0.5795 0.7819
0.9410 0.8628 0.5812
0.9619 0.6912 0.1774
0.5000 0.5000 0.5000
```

The 10 most intense peaks (2θ from 5° to 70°), by intensity:
2θ (°)	Rel. int.
33.86	100
32.43	92
33.14	87
31.76	72
31.51	63
31.39	59
31.28	47
32.50	35
49.05	29
39.72	28

No. 3
Structure and theoretical X-ray powder pattern of Rb3SnAs2O8 (a GGA-PBE-relaxed structure; Cu Kα, 1.54184 Å).

Structural model:
```
Rb3SnAs2O8
1.0
5.9603 0.0000 0.0000
-2.9802 5.1618 0.0000
0.0000 0.0000 8.1614
Rb Sn As O
3 1 2 8
Direct
0.0000 0.0000 0.0000
0.3333 0.6667 0.7247
0.6667 0.3333 0.2753
0.0000 0.0000 0.5000
0.3333 0.6667 0.2669
0.6667 0.3333 0.7331
0.1727 0.3454 0.3391
0.1727 0.8273 0.3391
0.3333 0.6667 0.0602
0.3454 0.1727 0.6609
0.6546 0.8273 0.3391
0.6667 0.3333 0.9398
0.8273 0.1727 0.6609
0.8273 0.6546 0.6609
```

The 10 most intense peaks (2θ from 5° to 70°), by intensity:
2θ (°)	Rel. int.
27.87	100
29.98	99
41.39	43
51.95	35
54.50	33
53.24	19
62.31	17
69.59	15
10.84	13
44.40	7

No. 4
Structure and theoretical X-ray powder pattern of Ce2Ho3Ru4 (a GGA-PBE-relaxed structure; Cu Kα, 1.54184 Å).

Structural model:
```
Ce2Ho3Ru4
1.0
7.1265 -5.0007 0.0000
7.1265 5.0007 0.0000
-1.2742 0.0000 5.7493
Ce Ho Ru
4 6 8
Direct
0.0861 0.2897 0.4632
0.2897 0.0861 0.9632
0.7103 0.9139 0.0368
0.9139 0.7103 0.5368
0.1300 0.8700 0.2500
0.2965 0.5126 0.9017
0.4874 0.7035 0.5983
0.5126 0.2965 0.4017
0.7035 0.4874 0.0983
0.8700 0.1300 0.7500
0.0645 0.3387 0.9908
0.1917 0.5594 0.3852
0.3387 0.0645 0.4908
0.4406 0.8083 0.1148
0.5594 0.1917 0.8852
0.6613 0.9355 0.5092
0.8083 0.4406 0.6148
0.9355 0.6613 0.0092
```

The 10 most intense peaks (2θ from 5° to 70°), by intensity:
2θ (°)	Rel. int.
33.42	100
34.15	62
35.92	61
28.47	54
36.30	51
34.80	42
42.30	40
42.59	27
31.68	27
42.90	27

No. 5
Structure and theoretical X-ray powder pattern of Pr12TlNi5 (a GGA-PBE-relaxed structure; Cu Kα, 1.54184 Å).

Structural model:
```
Pr12TlNi5
1.0
-4.8603 5.0212 5.2002
4.8603 -5.0212 5.2002
4.8603 5.0212 -5.2002
Pr Tl Ni
12 1 5
Direct
0.0162 0.2051 0.8111
0.1808 0.3009 0.4817
0.1808 0.6991 0.8800
0.3227 0.0151 0.6923
0.3227 0.6304 0.3077
0.3940 0.2051 0.1889
0.6060 0.7949 0.8111
0.6773 0.3696 0.6923
0.6773 0.9849 0.3077
0.8192 0.3009 0.1200
0.8192 0.6991 0.5183
0.9838 0.7949 0.1889
0.5000 0.5000 0.0000
0.0000 0.0000 0.0000
0.1226 0.6226 0.5000
0.3699 0.0000 0.3699
0.6301 0.0000 0.6301
0.8774 0.3774 0.5000
```

The 10 most intense peaks (2θ from 5° to 70°), by intensity:
2θ (°)	Rel. int.
30.84	100
33.13	74
32.97	73
28.95	44
34.04	44
28.00	37
57.62	36
27.29	31
56.21	25
51.74	23

No. 6
Structure and theoretical X-ray powder pattern of Ac4PPb2 (a GGA-PBE-relaxed structure; Cu Kα, 1.54184 Å).

Structural model:
```
Ac4PPb2
1.0
12.9267 0.0000 0.0000
0.0000 4.8679 0.0000
-4.9839 0.0000 8.1043
Ac P Pb
8 2 4
Direct
0.0815 0.0000 0.3601
0.1685 0.5000 0.0741
0.3315 0.0000 0.9259
0.4185 0.5000 0.6399
0.5815 0.5000 0.3601
0.6685 0.0000 0.0741
0.8315 0.5000 0.9259
0.9185 0.0000 0.6399
0.0000 0.0000 0.0000
0.5000 0.5000 0.0000
0.1342 0.5000 0.6631
0.3658 0.0000 0.3369
0.6342 0.0000 0.6631
0.8658 0.5000 0.3369
```

The 10 most intense peaks (2θ from 5° to 70°), by intensity:
2θ (°)	Rel. int.
26.42	100
27.70	80
30.50	68
28.11	54
36.93	53
32.89	46
24.77	45
34.48	36
53.16	33
33.16	33